# 1
Starting from a DFT-relaxed cell (GGA-PBE, Alexandria), the powder diffraction line list of Ba2GaSb2H4 was calculated for Cu Kα (weighted mean of Kα1 and Kα2).
No peak broadening, texture or thermal motion is included.

Top 6 peaks for 2θ from 5° to 70°, low angle first:
Position (°2θ)  intensity  (hkl)
26.40  100.0  2 0 0
27.49  31.3  1 1 2
33.16  33.3  1 0 3
33.39  28.0  2 0 2
37.69  39.8  2 2 0
42.87  31.7  2 1 3

Structural model:
```
data_Ba2GaSb2H4
_cell_length_a 6.7510
_cell_length_b 6.7510
_cell_length_c 8.8446
_cell_angle_alpha 90.00
_cell_angle_beta 90.00
_cell_angle_gamma 90.00
_symmetry_space_group_name_H-M 'I 4/m m m'
_symmetry_Int_Tables_number 139
_symmetry_space_group_name_Hall '-I 4 2'
loop_
_atom_site_label
_atom_site_type_symbol
_atom_site_fract_x
_atom_site_fract_y
_atom_site_fract_z
Ba1 Ba 0.0000 0.5000 0.2500
Ga1 Ga 0.0000 0.0000 0.0000
Sb1 Sb 0.0000 0.0000 0.3416
H1 H 0.1804 0.1804 0.0000
```

***

# 2
Starting from a DFT-relaxed cell (GGA-PBE, Alexandria), the powder diffraction line list of Cs4RbAg2 was calculated for Cu Kα (weighted mean of Kα1 and Kα2).
No peak broadening, texture or thermal motion is included.

Top 6 peaks for 2θ from 5° to 70°, low angle first:
Position (°2θ)  intensity  (hkl)
9.52  50.0  1 1 0
19.46  59.2  4 0 -2
21.08  73.0  1 3 0
25.77  100.0  1 1 2
32.07  41.1  5 3 -2
33.22  51.4  4 4 -2

Structural model:
```
data_Cs4RbAg2
_cell_length_a 18.2314
_cell_length_b 13.3762
_cell_length_c 12.9022
_cell_angle_alpha 90.00
_cell_angle_beta 134.95
_cell_angle_gamma 90.00
_symmetry_space_group_name_H-M 'C 1 2 1'
_symmetry_Int_Tables_number 5
loop_
_symmetry_equiv_pos_as_xyz
'x,y,z'
'-x,y,-z'
'x+1/2,y+1/2,z'
'-x+1/2,y+1/2,-z'
loop_
_atom_site_label
_atom_site_type_symbol
_atom_site_fract_x
_atom_site_fract_y
_atom_site_fract_z
Cs1 Cs 0.0012 0.0000 0.1766
Cs2 Cs 0.0017 0.4567 0.3262
Cs3 Cs 0.1754 0.7067 0.1755
Cs4 Cs 0.1754 0.7500 0.6748
Rb1 Rb 0.0000 0.1032 0.5000
Rb2 Rb 0.0000 0.3535 0.0000
Ag1 Ag 0.0005 0.7283 0.7506
Ag2 Ag 0.2500 0.4783 0.7516
```

***

# 3
Starting from a DFT-relaxed cell (GGA-PBE, Alexandria), the powder diffraction line list of Ac3BiSb4 was calculated for Cu Kα (weighted mean of Kα1 and Kα2).
No peak broadening, texture or thermal motion is included.

Top 6 peaks for 2θ from 5° to 70°, low angle first:
Position (°2θ)  intensity  (hkl)
21.74  40.3  1 0 0
24.47  28.0  0 1 2
31.35  100.0  1 0 4
38.13  46.3  1 1 0
50.16  27.5  0 2 4
64.70  25.9  2 1 4

Structural model:
```
data_Ac3BiSb4
_cell_length_a 4.7206
_cell_length_b 4.7206
_cell_length_c 15.9392
_cell_angle_alpha 90.00
_cell_angle_beta 90.00
_cell_angle_gamma 120.00
_symmetry_space_group_name_H-M 'P -3 m 1'
_symmetry_Int_Tables_number 164
_symmetry_space_group_name_Hall '-P 3 2"'
loop_
_atom_site_label
_atom_site_type_symbol
_atom_site_fract_x
_atom_site_fract_y
_atom_site_fract_z
Ac1 Ac 0.0000 0.0000 0.0000
Ac2 Ac 0.0000 0.0000 0.2615
Bi1 Bi 0.0000 0.0000 0.5000
Sb1 Sb 0.3333 0.6667 0.3896
Sb2 Sb 0.3333 0.6667 0.8694
```